[1]
Starting from a structure optimized by DFT (GGA-PBE), the powder diffractogram of Ta4CoSi was simulated for CuKα.

Cell and atoms:
Lattice parameters (Å, degrees): 6.1810 6.1810 4.9953 90.00 90.00 90.00
Space group I422 (No. 97)
Symmetry-distinct sites (fractional):
1 Ta 0.1601 0.3399 0.2500
2 Co 0.0000 0.0000 0.5000
3 Si 0.0000 0.0000 0.0000

The 12 most intense peaks (2θ = 5–70°), by angle:
| two_theta | I_rel | (hkl) |
| --- | --- | --- |
| 20.32 | 5 | 1 1 0 |
| 28.89 | 7 | 2 0 0 |
| 35.96 | 18 | 0 0 2 |
| 37.17 | 100 | 2 1 1 |
| 41.31 | 3 | 2 2 0 |
| 41.65 | 11 | 1 1 2 |
| 46.46 | 20 | 3 1 0 |
| 46.76 | 14 | 2 0 2 |
| 60.11 | 7 | 3 1 2 |
| 63.90 | 7 | 3 3 0 |
| 64.95 | 15 | 4 1 1 |
| 65.43 | 19 | 2 1 3 |

---

[2]
Starting from a structure optimized by DFT (GGA-PBE), the powder diffractogram of AuC5S4Cl4 was simulated for CuKα.

Cell and atoms:
Lattice parameters (Å, degrees): 15.1189 10.7807 8.5450 90.00 97.02 90.00
Space group C2/m (No. 12)
Symmetry-distinct sites (fractional):
1 Au 0.1393 0.0000 0.3775
2 C 0.0234 0.5000 0.5778
3 C 0.0959 0.4359 0.8504
4 C 0.2146 0.2774 0.0005
5 S 0.0513 0.3651 0.6775
6 S 0.1193 0.3479 0.0262
7 Cl 0.0180 0.0000 0.1861
8 Cl 0.1439 0.2149 0.3737
9 Cl 0.2383 0.5000 0.4277

The 12 most intense peaks (2θ = 5–70°), by angle:
| two_theta | I_rel | (hkl) |
| --- | --- | --- |
| 10.43 | 41 | 0 0 1 |
| 14.78 | 33 | 2 0 -1 |
| 15.05 | 82 | 1 1 1 |
| 16.45 | 23 | 0 2 0 |
| 19.54 | 46 | 0 2 1 |
| 21.16 | 100 | 3 1 -1 |
| 22.18 | 19 | 2 2 -1 |
| 22.64 | 20 | 1 1 -2 |
| 22.79 | 38 | 2 0 -2 |
| 25.49 | 26 | 1 3 0 |
| 27.14 | 19 | 4 0 1 |
| 46.60 | 17 | 5 3 2 |

---

[3]
Starting from a structure optimized by DFT (GGA-PBE), the powder diffractogram of Y3Ho5Te was simulated for CuKα.

Cell and atoms:
Lattice parameters (Å, degrees): 9.2085 9.2085 3.7841 90.00 90.00 120.00
Space group P-62m (No. 189)
Symmetry-distinct sites (fractional):
1 Y 0.0000 0.6165 0.0000
2 Ho 0.0000 0.2743 0.5000
3 Ho 0.3333 0.6667 0.5000
4 Te 0.0000 0.0000 0.0000

The 12 most intense peaks (2θ = 5–70°), by angle:
| two_theta | I_rel | (hkl) |
| --- | --- | --- |
| 19.28 | 16 | 1 1 0 |
| 23.51 | 15 | 0 0 1 |
| 29.64 | 47 | 2 1 0 |
| 30.58 | 100 | 1 1 1 |
| 32.62 | 71 | 2 0 1 |
| 33.72 | 99 | 3 0 0 |
| 38.17 | 55 | 2 1 1 |
| 48.09 | 20 | 0 0 2 |
| 55.81 | 48 | 3 2 1 |
| 57.51 | 14 | 2 1 2 |
| 60.02 | 37 | 3 0 2 |
| 63.27 | 12 | 5 0 1 |

---

[4]
Starting from a structure optimized by DFT (GGA-PBE), the powder diffractogram of Ga2Fe3W2 was simulated for CuKα.

Cell and atoms:
Lattice parameters (Å, degrees): 4.0783 4.0783 19.7537 90.00 90.00 120.00
Space group R3m (No. 160, hexagonal axes)
Symmetry-distinct sites (fractional):
1 Ga 0.0000 0.0000 0.0000
2 Ga 0.0000 0.0000 0.4893
3 Fe 0.0000 0.0000 0.3661
4 Fe 0.0000 0.0000 0.6186
5 Fe 0.0000 0.0000 0.8705
6 W 0.0000 0.0000 0.2388
7 W 0.0000 0.0000 0.7472

The 12 most intense peaks (2θ = 5–70°), by angle:
| two_theta | I_rel | (hkl) |
| --- | --- | --- |
| 26.81 | 40 | 0 1 2 |
| 27.08 | 13 | 0 0 6 |
| 31.13 | 60 | 1 0 4 |
| 34.05 | 5 | 0 1 5 |
| 40.94 | 6 | 1 0 7 |
| 44.43 | 100 | 1 1 0 |
| 44.78 | 94 | 0 1 8 |
| 52.65 | 7 | 2 0 2 |
| 52.81 | 13 | 1 1 6 |
| 53.12 | 6 | 1 0 10 |
| 55.24 | 13 | 0 2 4 |
| 64.92 | 30 | 2 0 8 |